Entry 1:
Diffraction record for Hg4BiPb10. The powder XRD pattern is simulated, not measured: it uses a PBE-relaxed structure and Cu Kα (λ = 1.5418 Å).
Kinematic intensities with the Lorentz-polarization factor, no thermal factor.

The 10 most intense peaks (15° ≤ 2θ ≤ 90°), by intensity:
34.38 deg, d = 2.609 Å, intensity 100.0
61.58 deg, d = 1.506 Å, intensity 37.5
20.85 deg, d = 4.260 Å, intensity 25.1
49.41 deg, d = 1.845 Å, intensity 18.1
82.72 deg, d = 1.167 Å, intensity 16.7
40.55 deg, d = 2.225 Å, intensity 14.2
24.12 deg, d = 3.689 Å, intensity 14.0
72.46 deg, d = 1.304 Å, intensity 11.7
54.19 deg, d = 1.693 Å, intensity 6.1
55.71 deg, d = 1.650 Å, intensity 5.7

Structural model:
```
Hg4BiPb10
1.0
-5.8333 5.8333 3.6888
5.8333 -5.8333 3.6888
5.8333 5.8333 -3.6888
Hg Bi Pb
4 1 10
Direct
0.0971 0.3021 0.3991
0.3021 0.9029 0.2050
0.6979 0.0971 0.7950
0.9029 0.6979 0.6009
0.5000 0.5000 0.0000
0.0355 0.1389 0.6896
0.1389 0.4493 0.1033
0.2500 0.7500 0.5000
0.3459 0.0355 0.8967
0.4493 0.3459 0.3104
0.5507 0.6541 0.6896
0.6541 0.9645 0.1033
0.7500 0.2500 0.5000
0.8611 0.5507 0.8967
0.9645 0.8611 0.3104
```

Entry 2:
Diffraction record for La2Er3Th4. The powder XRD pattern is simulated, not measured: it uses a PBE-relaxed structure and Cu Kα (λ = 1.5418 Å).
Kinematic intensities with the Lorentz-polarization factor, no thermal factor.

The 10 most intense peaks (15° ≤ 2θ ≤ 90°), by intensity:
33.38 deg, d = 2.685 Å, intensity 100.0
31.70 deg, d = 2.823 Å, intensity 72.1
30.54 deg, d = 2.927 Å, intensity 58.5
50.68 deg, d = 1.801 Å, intensity 42.8
60.28 deg, d = 1.535 Å, intensity 34.2
29.42 deg, d = 3.036 Å, intensity 34.0
28.82 deg, d = 3.098 Å, intensity 32.5
31.80 deg, d = 2.814 Å, intensity 32.2
57.17 deg, d = 1.611 Å, intensity 23.7
60.44 deg, d = 1.532 Å, intensity 17.4

Structural model:
```
La2Er3Th4
1.0
9.3486 -1.8035 0.0000
9.3486 1.8035 0.0000
-4.1807 0.0000 8.7819
La Er Th
2 3 4
Direct
0.1632 0.1632 0.4987
0.8368 0.8368 0.5013
0.3533 0.3533 0.8361
0.5000 0.5000 0.5000
0.6467 0.6467 0.1639
0.0247 0.0247 0.8362
0.3156 0.3156 0.1600
0.6844 0.6844 0.8400
0.9753 0.9753 0.1638
```

Entry 3:
Diffraction record for ThGeO. The powder XRD pattern is simulated, not measured: it uses a PBE-relaxed structure and Cu Kα (λ = 1.5418 Å).
Kinematic intensities with the Lorentz-polarization factor, no thermal factor.

The 10 most intense peaks (15° ≤ 2θ ≤ 90°), by intensity:
35.99 deg, d = 2.495 Å, intensity 100.0
30.33 deg, d = 2.947 Å, intensity 75.1
27.39 deg, d = 3.256 Å, intensity 69.0
22.32 deg, d = 3.983 Å, intensity 68.5
30.70 deg, d = 2.912 Å, intensity 59.6
24.59 deg, d = 3.620 Å, intensity 57.1
54.77 deg, d = 1.676 Å, intensity 28.0
44.83 deg, d = 2.022 Å, intensity 27.3
50.57 deg, d = 1.805 Å, intensity 22.7
52.18 deg, d = 1.753 Å, intensity 21.5

Structural model:
```
ThGeO
1.0
0.0000 6.8819 3.6955
4.8836 0.0000 3.6955
4.8836 6.8819 0.0000
Th Ge O
4 4 4
Direct
0.0023 0.4977 0.0800
0.1700 0.8300 0.2477
0.4977 0.0023 0.4200
0.8300 0.1700 0.7523
0.2914 0.4778 0.5353
0.4778 0.2914 0.6955
0.5545 0.7147 0.7722
0.7147 0.5545 0.9586
0.0331 0.4601 0.3450
0.0881 0.9050 0.7899
0.4601 0.0331 0.1619
0.9050 0.0881 0.2169
```

Entry 4:
Diffraction record for Pm8Pr3Th. The powder XRD pattern is simulated, not measured: it uses a PBE-relaxed structure and Cu Kα (λ = 1.5418 Å).
Kinematic intensities with the Lorentz-polarization factor, no thermal factor.

The 10 most intense peaks (15° ≤ 2θ ≤ 90°), by intensity:
35.40 deg, d = 2.536 Å, intensity 100.0
28.31 deg, d = 3.153 Å, intensity 79.4
30.86 deg, d = 2.897 Å, intensity 68.8
43.48 deg, d = 2.081 Å, intensity 63.8
32.30 deg, d = 2.772 Å, intensity 58.7
23.59 deg, d = 3.771 Å, intensity 57.1
42.37 deg, d = 2.133 Å, intensity 53.3
25.20 deg, d = 3.534 Å, intensity 39.6
54.83 deg, d = 1.674 Å, intensity 31.6
67.66 deg, d = 1.385 Å, intensity 28.8

Structural model:
```
Pm8Pr3Th
1.0
-4.4588 4.4588 5.7946
4.4588 -4.4588 5.7946
4.4588 4.4588 -5.7946
Pm Pr Th
8 3 1
Direct
0.1266 0.1266 0.7560
0.2481 0.7422 0.0000
0.2578 0.2578 0.5059
0.3706 0.3706 0.2440
0.6294 0.8734 0.0000
0.7422 0.2481 0.0000
0.7519 0.7519 0.4941
0.8734 0.6294 0.0000
0.2500 0.7500 0.5000
0.5000 0.5000 0.0000
0.7500 0.2500 0.5000
0.0000 0.0000 0.0000
```

Entry 5:
Diffraction record for LiDy6Tl2. The powder XRD pattern is simulated, not measured: it uses a PBE-relaxed structure and Cu Kα (λ = 1.5418 Å).
Kinematic intensities with the Lorentz-polarization factor, no thermal factor.

The 10 most intense peaks (15° ≤ 2θ ≤ 90°), by intensity:
34.82 deg, d = 2.577 Å, intensity 100.0
34.95 deg, d = 2.567 Å, intensity 24.7
35.31 deg, d = 2.542 Å, intensity 24.2
24.64 deg, d = 3.612 Å, intensity 20.4
62.60 deg, d = 1.484 Å, intensity 18.6
63.06 deg, d = 1.474 Å, intensity 18.1
50.53 deg, d = 1.806 Å, intensity 17.5
24.21 deg, d = 3.676 Å, intensity 16.9
21.25 deg, d = 4.181 Å, intensity 15.7
21.11 deg, d = 4.209 Å, intensity 14.8

Structural model:
```
LiDy6Tl2
1.0
-2.5418 3.6761 7.7015
2.5418 -3.6761 7.7015
2.5418 3.6761 -7.7015
Li Dy Tl
1 6 2
Direct
0.0000 0.0000 0.0000
0.0818 0.8366 0.2452
0.2441 0.5000 0.7441
0.4087 0.1634 0.2452
0.5913 0.8366 0.7548
0.7559 0.5000 0.2559
0.9182 0.1634 0.7548
0.3331 0.3331 0.0000
0.6669 0.6669 0.0000
```

Entry 6:
Diffraction record for Br4Cl3. The powder XRD pattern is simulated, not measured: it uses a PBE-relaxed structure and Cu Kα (λ = 1.5418 Å).
Kinematic intensities with the Lorentz-polarization factor, no thermal factor.

The 10 most intense peaks (15° ≤ 2θ ≤ 90°), by intensity:
25.14 deg, d = 3.542 Å, intensity 100.0
31.57 deg, d = 2.834 Å, intensity 51.9
40.94 deg, d = 2.205 Å, intensity 49.3
55.53 deg, d = 1.655 Å, intensity 39.0
34.87 deg, d = 2.573 Å, intensity 35.5
29.11 deg, d = 3.068 Å, intensity 29.8
51.60 deg, d = 1.771 Å, intensity 28.7
44.29 deg, d = 2.045 Å, intensity 21.5
67.88 deg, d = 1.381 Å, intensity 21.1
48.50 deg, d = 1.877 Å, intensity 14.7

Structural model:
```
Br4Cl3
1.0
7.0846 0.0000 0.0000
-3.5423 6.1354 0.0000
0.0000 0.0000 4.7249
Br Cl
4 3
Direct
0.0000 0.0000 0.2494
0.0000 0.0000 0.7506
0.3333 0.6667 0.5000
0.6667 0.3333 0.5000
0.0000 0.5000 0.0000
0.5000 0.0000 0.0000
0.5000 0.5000 0.0000
```